Theoretical powder diffraction line list
Compound: Ca3Tl4Hg
Radiation: Cu Ka
Structure: a cell relaxed with PBE
Intensities are scaled so that the largest is 1000.

Most intense lines, 2θ from 10° to 80°, sorted by position:
(hkl)  two_theta  d_spacing  I (rel.)
0 0 2  22.4  3.963  108
1 1 0  23.4  3.796  197
1 1 2  32.7  2.741  1000
2 0 0  33.4  2.684  476
2 0 2  40.6  2.222  97
0 0 4  45.8  1.981  96
2 2 0  47.9  1.898  174
2 0 4  57.8  1.594  193
3 1 2  59.2  1.561  368
2 2 4  68.4  1.371  117

Atomic structure:
```
data_Ca3Tl4Hg
_chemical_formula_sum 'Ca3 Tl4 Hg1'
_space_group_name_H-M_alt 'P 1'
_space_group_IT_number 1
_cell_length_a 5.3688
_cell_length_b 5.3688
_cell_length_c 7.9255
_cell_angle_alpha 90.00
_cell_angle_beta 90.00
_cell_angle_gamma 90.00
loop_
_space_group_symop_operation_xyz
'x,y,z'
loop_
_atom_site_label
_atom_site_fract_x
_atom_site_fract_y
_atom_site_fract_z
Ca1 0.0000 0.0000 0.0000
Ca2 0.0000 0.0000 0.5000
Ca3 0.5000 0.5000 0.0000
Tl1 0.0000 0.5000 0.2579
Tl2 0.0000 0.5000 0.7422
Tl3 0.5000 0.0000 0.2579
Tl4 0.5000 0.0000 0.7422
Hg1 0.5000 0.5000 0.5000
```